No. 1
Computed X-ray diffraction stick pattern
Compound: Pa3Al2
Radiation: a wavelength of 1.5418 Å
Structure: a cell relaxed with PBE

Largest 6 diffraction maxima, in order of rising 2θ, 2θ from 10° to 90°:
| 2θ (°) | d_spacing | I_rel |
| --- | --- | --- |
| 27.8 | 3.211 | 21.9 |
| 28.2 | 3.160 | 100.0 |
| 37.4 | 2.405 | 20.6 |
| 43.2 | 2.096 | 21.2 |
| 49.4 | 1.844 | 23.0 |
| 52.1 | 1.755 | 17.9 |

Cell and atoms:
a = 7.669 Å, b = 7.669 Å, c = 7.669 Å
α = 56.50°, β = 56.50°, γ = 56.50°
Positions (direct):
Pa (0.049, 0.750, 0.451)
Pa (0.250, 0.549, 0.951)
Pa (0.451, 0.049, 0.750)
Pa (0.549, 0.951, 0.250)
Pa (0.750, 0.451, 0.049)
Pa (0.951, 0.250, 0.549)
Al (0.151, 0.151, 0.151)
Al (0.349, 0.349, 0.349)
Al (0.651, 0.651, 0.651)
Al (0.849, 0.849, 0.849)



No. 2
Computed X-ray diffraction stick pattern
Compound: TbAlPbS3
Radiation: a wavelength of 1.5418 Å
Structure: a cell relaxed with PBE

Largest 6 diffraction maxima, in order of rising 2θ, 2θ from 10° to 90°:
| 2θ (°) | d_spacing | I_rel |
| --- | --- | --- |
| 20.7 | 4.286 | 100.0 |
| 25.4 | 3.501 | 46.8 |
| 29.7 | 3.003 | 97.8 |
| 33.7 | 2.659 | 44.5 |
| 42.6 | 2.120 | 50.2 |
| 45.6 | 1.991 | 58.4 |

Cell and atoms:
a = 7.492 Å, b = 7.492 Å, c = 10.636 Å
α = 90.00°, β = 90.00°, γ = 150.34°
Positions (direct):
Tb (0.000, 0.000, 0.000)
Tb (0.000, 0.000, 0.500)
Al (0.371, 0.629, 0.750)
Al (0.629, 0.371, 0.250)
Pb (0.301, 0.699, 0.250)
Pb (0.699, 0.301, 0.750)
S (0.026, 0.974, 0.250)
S (0.366, 0.634, 0.516)
S (0.366, 0.634, 0.984)
S (0.634, 0.366, 0.016)
S (0.634, 0.366, 0.484)
S (0.974, 0.026, 0.750)



No. 3
Computed X-ray diffraction stick pattern
Compound: TmAlPbS3
Radiation: a wavelength of 1.5418 Å
Structure: a cell relaxed with PBE

Largest 6 diffraction maxima, in order of rising 2θ, 2θ from 10° to 90°:
| 2θ (°) | d_spacing | I_rel |
| --- | --- | --- |
| 20.8 | 4.266 | 100.0 |
| 25.8 | 3.457 | 42.3 |
| 30.0 | 2.979 | 92.1 |
| 34.0 | 2.638 | 42.3 |
| 42.9 | 2.110 | 49.3 |
| 46.0 | 1.975 | 55.3 |

Cell and atoms:
a = 7.496 Å, b = 7.496 Å, c = 10.550 Å
α = 90.00°, β = 90.00°, γ = 150.79°
Positions (direct):
Tm (0.000, 0.000, 0.000)
Tm (0.000, 0.000, 0.500)
Al (0.372, 0.628, 0.750)
Al (0.628, 0.372, 0.250)
Pb (0.300, 0.700, 0.250)
Pb (0.700, 0.300, 0.750)
S (0.023, 0.977, 0.250)
S (0.368, 0.632, 0.514)
S (0.368, 0.632, 0.986)
S (0.632, 0.368, 0.014)
S (0.632, 0.368, 0.486)
S (0.977, 0.023, 0.750)



No. 4
Computed X-ray diffraction stick pattern
Compound: SmAlPbSe3
Radiation: a wavelength of 1.5418 Å
Structure: a cell relaxed with PBE

Largest 6 diffraction maxima, in order of rising 2θ, 2θ from 10° to 90°:
| 2θ (°) | d_spacing | I_rel |
| --- | --- | --- |
| 19.8 | 4.492 | 35.6 |
| 24.1 | 3.686 | 31.6 |
| 28.5 | 3.130 | 100.0 |
| 31.7 | 2.822 | 48.0 |
| 41.0 | 2.203 | 28.3 |
| 43.2 | 2.096 | 63.8 |

Cell and atoms:
a = 7.690 Å, b = 7.690 Å, c = 11.288 Å
α = 90.00°, β = 90.00°, γ = 149.52°
Positions (direct):
Sm (0.000, 0.000, 0.000)
Sm (0.000, 0.000, 0.500)
Al (0.365, 0.635, 0.750)
Al (0.635, 0.365, 0.250)
Pb (0.299, 0.701, 0.250)
Pb (0.701, 0.299, 0.750)
Se (0.027, 0.973, 0.250)
Se (0.359, 0.641, 0.510)
Se (0.359, 0.641, 0.990)
Se (0.641, 0.359, 0.010)
Se (0.641, 0.359, 0.490)
Se (0.973, 0.027, 0.750)



No. 5
Computed X-ray diffraction stick pattern
Compound: Al2Zn2Pb3
Radiation: a wavelength of 1.5418 Å
Structure: a cell relaxed with PBE

Largest 6 diffraction maxima, in order of rising 2θ, 2θ from 10° to 90°:
| 2θ (°) | d_spacing | I_rel |
| --- | --- | --- |
| 20.6 | 4.313 | 24.4 |
| 25.0 | 3.567 | 63.7 |
| 35.5 | 2.529 | 100.0 |
| 35.7 | 2.515 | 92.9 |
| 51.2 | 1.784 | 33.5 |
| 63.9 | 1.458 | 34.7 |

Cell and atoms:
a = 8.697 Å, b = 8.697 Å, c = 8.697 Å
α = 33.82°, β = 33.82°, γ = 33.82°
Positions (direct):
Al (0.000, 0.000, 0.000)
Al (0.490, 0.490, 0.490)
Zn (0.229, 0.229, 0.229)
Zn (0.747, 0.747, 0.747)
Pb (0.371, 0.371, 0.371)
Pb (0.617, 0.617, 0.617)
Pb (0.865, 0.865, 0.865)



No. 6
Computed X-ray diffraction stick pattern
Compound: Zr5AlPb3
Radiation: a wavelength of 1.5418 Å
Structure: a cell relaxed with PBE

Largest 6 diffraction maxima, in order of rising 2θ, 2θ from 10° to 90°:
| 2θ (°) | d_spacing | I_rel |
| --- | --- | --- |
| 25.1 | 3.551 | 47.2 |
| 30.0 | 2.979 | 34.5 |
| 34.4 | 2.604 | 100.0 |
| 35.2 | 2.553 | 93.9 |
| 36.4 | 2.471 | 99.0 |
| 45.3 | 2.001 | 46.4 |

Cell and atoms:
a = 8.843 Å, b = 8.843 Å, c = 5.959 Å
α = 90.00°, β = 90.00°, γ = 120.00°
Positions (direct):
Zr (0.000, 0.268, 0.250)
Zr (0.000, 0.732, 0.750)
Zr (0.268, 0.000, 0.250)
Zr (0.268, 0.268, 0.750)
Zr (0.333, 0.667, 0.000)
Zr (0.333, 0.667, 0.500)
Zr (0.667, 0.333, 0.000)
Zr (0.667, 0.333, 0.500)
Zr (0.732, 0.000, 0.750)
Zr (0.732, 0.732, 0.250)
Al (0.000, 0.000, 0.000)
Al (0.000, 0.000, 0.500)
Pb (0.000, 0.386, 0.750)
Pb (0.000, 0.614, 0.250)
Pb (0.386, 0.000, 0.750)
Pb (0.386, 0.386, 0.250)
Pb (0.614, 0.000, 0.250)
Pb (0.614, 0.614, 0.750)



No. 7
Computed X-ray diffraction stick pattern
Compound: ZrAlPb
Radiation: a wavelength of 1.5418 Å
Structure: a cell relaxed with PBE

Largest 6 diffraction maxima, in order of rising 2θ, 2θ from 10° to 90°:
| 2θ (°) | d_spacing | I_rel |
| --- | --- | --- |
| 22.5 | 3.946 | 100.0 |
| 37.2 | 2.416 | 96.9 |
| 43.9 | 2.061 | 53.9 |
| 58.9 | 1.568 | 22.9 |
| 67.1 | 1.395 | 34.7 |
| 83.7 | 1.155 | 17.8 |

Cell and atoms:
a = 4.833 Å, b = 4.833 Å, c = 4.833 Å
α = 60.00°, β = 60.00°, γ = 60.00°
Positions (direct):
Zr (0.000, 0.000, 0.000)
Al (0.500, 0.500, 0.500)
Pb (0.750, 0.750, 0.750)



No. 8
Computed X-ray diffraction stick pattern
Compound: Al7Pd
Radiation: a wavelength of 1.5418 Å
Structure: a cell relaxed with PBE

Largest 6 diffraction maxima, in order of rising 2θ, 2θ from 10° to 90°:
| 2θ (°) | d_spacing | I_rel |
| --- | --- | --- |
| 10.6 | 8.366 | 89.5 |
| 17.9 | 4.954 | 53.1 |
| 35.2 | 2.549 | 37.6 |
| 40.9 | 2.204 | 52.1 |
| 41.5 | 2.178 | 100.0 |
| 43.3 | 2.092 | 29.6 |

Cell and atoms:
a = 5.396 Å, b = 5.396 Å, c = 16.733 Å
α = 90.00°, β = 90.00°, γ = 147.93°
Positions (direct):
Al (0.024, 0.976, 0.613)
Al (0.024, 0.976, 0.887)
Al (0.238, 0.762, 0.140)
Al (0.238, 0.762, 0.360)
Al (0.364, 0.636, 0.510)
Al (0.364, 0.636, 0.990)
Al (0.428, 0.572, 0.750)
Al (0.572, 0.428, 0.250)
Al (0.636, 0.364, 0.010)
Al (0.636, 0.364, 0.490)
Al (0.762, 0.238, 0.640)
Al (0.762, 0.238, 0.860)
Al (0.976, 0.024, 0.113)
Al (0.976, 0.024, 0.387)
Pd (0.153, 0.847, 0.750)
Pd (0.847, 0.153, 0.250)



No. 9
Computed X-ray diffraction stick pattern
Compound: Al21Pd8
Radiation: a wavelength of 1.5418 Å
Structure: a cell relaxed with PBE

Largest 6 diffraction maxima, in order of rising 2θ, 2θ from 10° to 90°:
| 2θ (°) | d_spacing | I_rel |
| --- | --- | --- |
| 25.5 | 3.499 | 57.2 |
| 26.0 | 3.428 | 100.0 |
| 27.3 | 3.268 | 50.1 |
| 42.9 | 2.108 | 44.0 |
| 45.0 | 2.016 | 41.6 |
| 45.3 | 2.001 | 52.4 |

Cell and atoms:
a = 10.672 Å, b = 10.672 Å, c = 10.672 Å
α = 104.68°, β = 104.68°, γ = 119.56°
Positions (direct):
Al (0.013, 0.425, 0.085)
Al (0.065, 0.779, 0.393)
Al (0.075, 0.660, 0.589)
Al (0.076, 0.992, 0.271)
Al (0.113, 0.328, 0.893)
Al (0.140, 0.318, 0.257)
Al (0.160, 0.072, 0.585)
Al (0.172, 0.565, 0.785)
Al (0.177, 0.154, 0.042)
Al (0.182, 0.939, 0.822)
Al (0.221, 0.805, 0.229)
Al (0.279, 0.387, 0.715)
Al (0.305, 0.576, 0.584)
Al (0.346, 0.887, 0.023)
Al (0.364, 0.323, 0.477)
Al (0.375, 0.125, 0.250)
Al (0.383, 0.640, 0.322)
Al (0.387, 0.864, 0.542)
Al (0.428, 0.513, 0.089)
Al (0.439, 0.117, 0.757)
Al (0.492, 0.721, 0.916)
Al (0.508, 0.279, 0.084)
Al (0.561, 0.883, 0.243)
Al (0.572, 0.487, 0.911)
Al (0.613, 0.136, 0.458)
Al (0.617, 0.360, 0.678)
Al (0.625, 0.875, 0.750)
Al (0.636, 0.677, 0.523)
Al (0.654, 0.113, 0.977)
Al (0.695, 0.424, 0.416)
Al (0.721, 0.613, 0.285)
Al (0.779, 0.195, 0.771)
Al (0.818, 0.061, 0.178)
Al (0.823, 0.846, 0.958)
Al (0.828, 0.435, 0.215)
Al (0.840, 0.928, 0.415)
Al (0.860, 0.682, 0.743)
Al (0.887, 0.672, 0.107)
Al (0.924, 0.008, 0.729)
Al (0.925, 0.340, 0.411)
Al (0.935, 0.221, 0.607)
Al (0.987, 0.575, 0.915)
Pd (0.069, 0.205, 0.437)
Pd (0.089, 0.876, 0.026)
Pd (0.132, 0.569, 0.364)
Pd (0.268, 0.632, 0.063)
Pd (0.295, 0.232, 0.864)
Pd (0.350, 0.063, 0.474)
Pd (0.376, 0.850, 0.787)
Pd (0.437, 0.411, 0.287)
Pd (0.563, 0.589, 0.713)
Pd (0.624, 0.150, 0.213)
Pd (0.650, 0.937, 0.526)
Pd (0.705, 0.768, 0.136)
Pd (0.732, 0.368, 0.937)
Pd (0.868, 0.431, 0.636)
Pd (0.911, 0.124, 0.974)
Pd (0.931, 0.795, 0.563)



No. 10
Computed X-ray diffraction stick pattern
Compound: Al2Pd3
Radiation: a wavelength of 1.5418 Å
Structure: a cell relaxed with PBE

Largest 6 diffraction maxima, in order of rising 2θ, 2θ from 10° to 90°:
| 2θ (°) | d_spacing | I_rel |
| --- | --- | --- |
| 21.1 | 4.211 | 17.1 |
| 34.9 | 2.570 | 100.0 |
| 41.7 | 2.168 | 23.6 |
| 43.9 | 2.062 | 33.3 |
| 49.5 | 1.842 | 16.7 |
| 56.5 | 1.629 | 15.6 |

Cell and atoms:
a = 5.689 Å, b = 5.689 Å, c = 5.689 Å
α = 68.21°, β = 68.21°, γ = 68.21°
Positions (direct):
Al (0.105, 0.105, 0.105)
Al (0.395, 0.395, 0.395)
Al (0.605, 0.605, 0.605)
Al (0.895, 0.895, 0.895)
Pd (0.016, 0.750, 0.484)
Pd (0.250, 0.516, 0.984)
Pd (0.484, 0.016, 0.750)
Pd (0.516, 0.984, 0.250)
Pd (0.750, 0.484, 0.016)
Pd (0.984, 0.250, 0.516)



No. 11
Computed X-ray diffraction stick pattern
Compound: AlPd4
Radiation: a wavelength of 1.5418 Å
Structure: a cell relaxed with PBE

Largest 6 diffraction maxima, in order of rising 2θ, 2θ from 10° to 90°:
| 2θ (°) | d_spacing | I_rel |
| --- | --- | --- |
| 29.8 | 2.994 | 18.1 |
| 40.4 | 2.232 | 100.0 |
| 42.7 | 2.117 | 60.3 |
| 44.9 | 2.019 | 24.7 |
| 71.9 | 1.313 | 25.1 |
| 76.6 | 1.243 | 20.2 |

Cell and atoms:
a = 6.695 Å, b = 6.695 Å, c = 6.695 Å
α = 90.00°, β = 90.00°, γ = 90.00°
Positions (direct):
Al (0.190, 0.190, 0.190)
Al (0.310, 0.810, 0.690)
Al (0.690, 0.310, 0.810)
Al (0.810, 0.690, 0.310)
Pd (0.044, 0.128, 0.801)
Pd (0.063, 0.937, 0.437)
Pd (0.128, 0.801, 0.044)
Pd (0.199, 0.544, 0.372)
Pd (0.301, 0.456, 0.872)
Pd (0.372, 0.199, 0.544)
Pd (0.437, 0.063, 0.937)
Pd (0.456, 0.872, 0.301)
Pd (0.544, 0.372, 0.199)
Pd (0.563, 0.563, 0.563)
Pd (0.628, 0.699, 0.956)
Pd (0.699, 0.956, 0.628)
Pd (0.801, 0.044, 0.128)
Pd (0.872, 0.301, 0.456)
Pd (0.937, 0.437, 0.063)
Pd (0.956, 0.628, 0.699)



Question: What is the formula in the third record?
Answer: TmAlPbS3



Question: What is the formula in the second record?
Answer: TbAlPbS3